Computed powder diffraction line list of Th5Tc3 for Cu Kα (λ = 1.5418 Å), from DFT lattice parameters and positions (GGA-PBE).

The 8 most intense peaks (2θ from 5° to 70°), in order of rising 2θ:
two_theta, I (rel.)
29.4, 390
32.7, 390
34.3, 1000
35.4, 967
37.2, 454
51.5, 281
53.0, 311
57.9, 234

```
Th5Tc3
1.0
8.3727 0.0000 0.0000
-4.1863 7.2509 0.0000
0.0000 0.0000 6.6855
Th Tc
10 6
Cartesian
-1.0278 1.7803 1.6714
-3.1585 5.4707 5.0141
2.0557 0.0000 1.6714
1.0278 1.7803 5.0141
0.0000 4.8340 0.0000
0.0000 4.8340 3.3428
4.1863 2.4170 0.0000
4.1863 2.4170 3.3428
6.3170 0.0000 5.0141
3.1585 5.4707 1.6714
-1.6144 2.7962 5.0141
-2.5719 4.4547 1.6714
3.2288 0.0000 5.0141
1.6144 2.7962 1.6714
5.1438 0.0000 1.6714
2.5719 4.4547 5.0141
```

Computed powder diffraction line list of ThTc2Ge3 for Cu Kα (λ = 1.5418 Å), from DFT lattice parameters and positions (GGA-PBE).

The 8 most intense peaks (2θ from 5° to 70°), in order of rising 2θ:
two_theta, I (rel.)
18.8, 280
27.2, 249
34.1, 275
38.1, 1000
38.7, 235
40.3, 512
49.0, 218
60.6, 332

```
ThTc2Ge3
1.0
3.0562 1.7645 6.9775
-3.0562 1.7645 6.9775
0.0000 -3.5290 6.9775
Th Tc Ge
2 4 6
Cartesian
0.0000 0.0000 4.5207
0.0000 0.0000 16.4119
0.0000 0.0000 0.0000
-1.5281 -0.8822 6.9775
-1.5281 0.8822 13.9551
0.0000 1.7645 6.9775
-1.5135 -0.8738 12.0778
0.0000 -1.7476 8.8549
-1.5135 0.8738 8.8549
1.5135 -0.8738 12.0778
0.0000 1.7476 12.0778
1.5135 0.8738 8.8549
```

Computed powder diffraction line list of CaAsRh4 for Cu Kα (λ = 1.5418 Å), from DFT lattice parameters and positions (GGA-PBE).

The 8 most intense peaks (2θ from 5° to 70°), in order of rising 2θ:
two_theta, I (rel.)
20.7, 361
34.1, 129
40.2, 1000
42.1, 598
49.0, 148
53.8, 81
61.1, 45
65.2, 308

```
CaAsRh4
1.0
0.0000 3.7165 3.7165
3.7165 0.0000 3.7165
3.7165 3.7165 0.0000
Ca As Rh
1 1 4
Cartesian
0.0000 0.0000 0.0000
1.8583 1.8583 1.8583
4.6410 2.7921 2.7921
2.7921 4.6410 2.7921
2.7921 2.7921 4.6410
4.6410 4.6410 4.6410
```

Computed powder diffraction line list of CsZnGePSe for Cu Kα (λ = 1.5418 Å), from DFT lattice parameters and positions (GGA-PBE).

The 8 most intense peaks (2θ from 5° to 70°), in order of rising 2θ:
two_theta, I (rel.)
22.5, 924
22.6, 453
25.2, 755
27.5, 895
29.5, 447
30.7, 1000
37.0, 735
37.2, 737

```
CsZnGePSe
1.0
4.9194 -1.9330 0.0000
4.9194 1.9330 0.0000
-4.0289 0.0000 7.8647
Cs Zn Ge P Se
1 1 1 1 1
Cartesian
0.0000 0.0000 0.0000
1.2303 0.0000 3.7574
-1.1819 0.0000 4.3442
2.8673 0.0000 5.5450
6.9951 0.0000 2.3505
```